(1)
Ce2ThSc5: calculated X-ray powder pattern (Cu Ka), based on a cell relaxed with GGA-PBE.
Neutral-atom scattering factors, no anomalous dispersion.

Largest 12 diffraction maxima, by angle, 5° ≤ 2θ ≤ 70°:
2theta, intensity
13.54, 47
15.23, 41
16.68, 100
27.22, 49
31.51, 72
32.63, 71
32.80, 83
36.86, 30
38.92, 58
39.61, 96
45.99, 50
62.95, 24

Cell and atoms:
```
Ce2ThSc5
1.0
2.744 -5.818 0.000
2.744 5.818 0.000
0.000 0.000 13.079
Ce Th Sc
4 2 10
direct
0.167 0.833 0.639
0.167 0.833 0.861
0.833 0.167 0.139
0.833 0.167 0.361
0.321 0.679 0.250
0.679 0.321 0.750
0.087 0.913 0.114
0.087 0.913 0.386
0.367 0.633 0.016
0.367 0.633 0.484
0.418 0.582 0.750
0.582 0.418 0.250
0.633 0.367 0.516
0.633 0.367 0.984
0.913 0.087 0.614
0.913 0.087 0.886
```

---

(2)
Cs12RbAg5: calculated X-ray powder pattern (Cu Ka), based on a cell relaxed with GGA-PBE.
Neutral-atom scattering factors, no anomalous dispersion.

Largest 12 diffraction maxima, by angle, 5° ≤ 2θ ≤ 70°:
2theta, intensity
9.27, 29
21.11, 29
22.45, 86
24.03, 100
24.43, 30
24.77, 28
30.58, 20
32.58, 22
37.24, 22
38.55, 21
41.36, 27
55.24, 26

Cell and atoms:
```
Cs12RbAg5
1.0
-6.624 6.878 7.101
6.624 -6.878 7.101
6.624 6.878 -7.101
Cs Rb Ag
12 1 5
direct
0.001 0.806 0.195
0.172 0.300 0.472
0.172 0.700 0.872
0.320 0.642 0.322
0.320 0.998 0.678
0.389 0.194 0.195
0.611 0.806 0.805
0.680 0.002 0.322
0.680 0.358 0.678
0.828 0.300 0.128
0.828 0.700 0.528
0.999 0.194 0.805
0.500 0.500 0.000
0.000 0.000 0.000
0.101 0.601 0.500
0.394 0.000 0.394
0.606 0.000 0.606
0.899 0.399 0.500
```

---

(3)
Dy6As5: calculated X-ray powder pattern (Cu Ka), based on a cell relaxed with GGA-PBE.
Neutral-atom scattering factors, no anomalous dispersion.

Largest 12 diffraction maxima, by angle, 5° ≤ 2θ ≤ 70°:
2theta, intensity
15.12, 2
16.96, 1
26.72, 35
30.95, 100
44.32, 62
44.41, 12
52.43, 2
52.50, 10
52.57, 6
54.94, 7
55.08, 20
64.50, 12

Cell and atoms:
```
Dy6As5
1.0
3.539 -6.119 0.000
3.539 6.119 0.000
-2.360 0.000 6.685
Dy As
6 5
direct
0.078 0.416 0.749
0.246 0.246 0.255
0.416 0.078 0.749
0.584 0.922 0.251
0.754 0.754 0.745
0.922 0.584 0.251
0.000 0.000 0.500
0.166 0.834 0.000
0.333 0.667 0.500
0.667 0.333 0.500
0.834 0.166 0.000
```

---

(4)
Tb2ThOsC4: calculated X-ray powder pattern (Cu Ka), based on a cell relaxed with GGA-PBE.
Neutral-atom scattering factors, no anomalous dispersion.

Largest 12 diffraction maxima, by angle, 5° ≤ 2θ ≤ 70°:
2theta, intensity
26.37, 22
29.26, 45
29.45, 33
30.18, 100
30.37, 29
34.51, 46
36.90, 69
42.00, 16
47.86, 20
50.77, 21
50.90, 21
51.84, 16

Cell and atoms:
```
Tb2ThOsC4
1.0
1.764 -6.065 0.000
1.764 6.065 0.000
0.000 0.000 12.208
Tb Th Os C
4 2 2 8
direct
0.130 0.870 0.540
0.130 0.870 0.960
0.870 0.130 0.040
0.870 0.130 0.460
0.412 0.588 0.750
0.588 0.412 0.250
0.330 0.670 0.250
0.670 0.330 0.750
0.081 0.919 0.750
0.231 0.769 0.131
0.231 0.769 0.369
0.500 0.500 0.000
0.500 0.500 0.500
0.769 0.231 0.631
0.769 0.231 0.869
0.919 0.081 0.250
```